Entry 1:
Diffraction record for CsNdReN3. The X-ray diffraction stick pattern is simulated, not measured: it uses a DFT-relaxed cell (GGA-PBE, Alexandria) and a wavelength of 1.5418 Å.
Lines closer than 0.1° are merged.

```
data_CsNdReN3
_chemical_formula_sum 'Cs4 Nd4 Re4 N12'
_cell_length_a 13.894
_cell_length_b 3.946
_cell_length_c 8.654
_cell_angle_alpha 90.00
_cell_angle_beta 104.08
_cell_angle_gamma 90.00
_space_group_name_H-M_alt 'C 1 2/m 1'
_space_group_IT_number 12
_space_group_name_Hall '-C 2y'
loop_
_atom_site_label
_atom_site_type_symbol
_atom_site_fract_x
_atom_site_fract_y
_atom_site_fract_z
Cs1 Cs 0.140 0.000 0.072
Nd1 Nd 0.162 0.000 0.578
Re1 Re 0.007 0.500 0.348
N1 N 0.012 0.000 0.346
N2 N 0.125 0.500 0.769
N3 N 0.156 0.500 0.385
```

The 10 most intense peaks (10 to 90 degrees two-theta), most intense first:
2θ 30.15, intensity 100.0; 2θ 30.70, intensity 76.4; 2θ 10.54, intensity 63.8; 2θ 29.69, intensity 35.7; 2θ 27.64, intensity 33.0; 2θ 40.15, intensity 24.5; 2θ 46.00, intensity 23.6; 2θ 13.14, intensity 22.7; 2θ 48.11, intensity 16.3; 2θ 26.47, intensity 14.4



Entry 2:
Diffraction record for CsNd2W2N6. The X-ray diffraction stick pattern is simulated, not measured: it uses a DFT-relaxed cell (GGA-PBE, Alexandria) and a wavelength of 1.5418 Å.
Lines closer than 0.1° are merged.

```
data_CsNd2W2N6
_chemical_formula_sum 'Cs1 Nd2 W2 N6'
_cell_length_a 6.874
_cell_length_b 6.894
_cell_length_c 7.238
_cell_angle_alpha 117.69
_cell_angle_beta 90.05
_cell_angle_gamma 119.85
_space_group_name_H-M_alt 'P -1'
_space_group_IT_number 2
_space_group_name_Hall '-P 1'
loop_
_atom_site_label
_atom_site_type_symbol
_atom_site_fract_x
_atom_site_fract_y
_atom_site_fract_z
Cs1 Cs 0.000 0.000 0.000
Nd1 Nd 0.324 0.648 0.712
W1 W 0.378 0.758 0.309
N1 N 0.090 0.610 0.355
N2 N 0.422 0.846 0.099
N3 N 0.481 0.391 0.646
```

The 10 most intense peaks (10 to 90 degrees two-theta), most intense first:
2θ 25.90, intensity 100.0; 2θ 29.56, intensity 84.8; 2θ 15.60, intensity 78.5; 2θ 29.95, intensity 42.7; 2θ 17.82, intensity 36.6; 2θ 41.35, intensity 35.1; 2θ 28.70, intensity 30.6; 2θ 24.68, intensity 29.9; 2θ 53.28, intensity 27.7; 2θ 37.39, intensity 24.2